(1)
Theoretical powder diffraction line list
Compound: Ta2PdSe6
Radiation: a wavelength of 1.5418 Å
Structure: a structure optimized by DFT (GGA-PBE)
No peak broadening, texture or thermal motion is included.

Cell and atoms:
Cell: 14.1754 3.4064 11.1720 Å, 90.00 121.63 90.00°
Space group C2/m (No. 12)
Symmetry-distinct sites (fractional):
Ta  0.1774  0.0000  0.2909 (multiplicity 4)
Pd  0.0000  0.5000  0.0000 (multiplicity 2)
Se  0.0176  0.5000  0.2334 (multiplicity 4)
Se  0.1694  0.0000  0.5331 (multiplicity 4)
Se  0.2061  0.5000  0.1340 (multiplicity 4)

Principal peaks in the range 10° ≤ 2θ ≤ 90°, most intense first:
index, 2theta, I/Imax
2 0 -1, 12.6, 100.0
3 1 0, 34.5, 28.6
3 1 -4, 41.9, 20.3
5 1 -1, 42.7, 17.7
1 1 1, 30.1, 17.0
5 1 -3, 42.4, 15.2
2 0 -4, 32.4, 13.0
4 0 1, 35.6, 11.4
1 1 4, 50.5, 9.4
7 1 -3, 52.6, 9.1

(2)
Theoretical powder diffraction line list
Compound: SiO2
Radiation: a wavelength of 1.5418 Å
Structure: a structure optimized by DFT (GGA-PBE)
No peak broadening, texture or thermal motion is included.

Cell and atoms:
Cell: 4.9445 15.4349 20.7572 Å, 90.00 90.00 90.00°
Space group Fddd (No. 70, origin choice 2)
Symmetry-distinct sites (fractional):
Si  0.1156  0.3112  0.1927 (multiplicity 32)
O  0.0000  0.0000  0.0000 (multiplicity 16)
O  0.1250  0.1250  0.3253 (multiplicity 16)
O  0.1250  0.1250  0.4628 (multiplicity 16)
O  0.1250  0.2539  0.1250 (multiplicity 16)

Principal peaks in the range 10° ≤ 2θ ≤ 90°, most intense first:
index, 2theta, I/Imax
0 2 2, 14.3, 100.0
1 3 1, 25.3, 58.1
1 1 1, 19.3, 35.4
0 2 6, 28.3, 21.3
1 5 7, 46.3, 15.0
1 3 5, 33.1, 6.9
2 6 0, 51.3, 6.8
2 8 6, 67.2, 6.6
2 4 2, 44.4, 5.2
0 4 8, 42.0, 5.1

(3)
Theoretical powder diffraction line list
Compound: Na2Sn3Au
Radiation: a wavelength of 1.5418 Å
Structure: a structure optimized by DFT (GGA-PBE)
No peak broadening, texture or thermal motion is included.

Cell and atoms:
Cell: 9.8241 9.8241 7.6065 Å, 90.00 90.00 120.00°
Space group P6_3/mmc (No. 194)
Symmetry-distinct sites (fractional):
Na  0.0000  0.0000  0.2500 (multiplicity 2)
Na  0.0640  0.5320  0.2500 (multiplicity 6)
Sn  0.1711  0.3423  0.5526 (multiplicity 12)
Au  0.3333  0.6667  0.5419 (multiplicity 4)

Principal peaks in the range 10° ≤ 2θ ≤ 90°, most intense first:
index, 2theta, I/Imax
2 2 0, 36.6, 100.0
2 0 2, 31.6, 64.4
2 0 0, 20.9, 63.9
2 2 2, 43.9, 61.9
0 0 2, 23.4, 48.8
1 0 3, 37.0, 27.9
1 0 1, 15.6, 22.1
2 1 3, 45.6, 20.4
3 1 3, 53.0, 19.2
3 2 3, 59.8, 18.6

(4)
Theoretical powder diffraction line list
Compound: ErNiPb
Radiation: a wavelength of 1.5418 Å
Structure: a structure optimized by DFT (GGA-PBE)
No peak broadening, texture or thermal motion is included.

Cell and atoms:
Cell: 7.1086 4.3497 8.0665 Å, 90.00 90.00 90.00°
Space group Pnma (No. 62)
Symmetry-distinct sites (fractional):
Er  0.0152  0.2500  0.1853 (multiplicity 4)
Ni  0.2344  0.7500  0.3905 (multiplicity 4)
Pb  0.1696  0.2500  0.5725 (multiplicity 4)

Principal peaks in the range 10° ≤ 2θ ≤ 90°, most intense first:
index, 2theta, I/Imax
2 1 1, 34.4, 100.0
1 1 2, 32.8, 83.9
0 1 3, 39.4, 61.0
0 2 0, 41.5, 57.4
3 0 1, 39.6, 49.5
3 1 4, 64.3, 44.7
2 1 0, 32.5, 37.9
1 1 1, 26.4, 36.8
3 2 1, 58.7, 35.6
2 0 2, 33.6, 34.3

(5)
Theoretical powder diffraction line list
Compound: Ba2LaSbO6
Radiation: a wavelength of 1.5418 Å
Structure: a structure optimized by DFT (GGA-PBE)
No peak broadening, texture or thermal motion is included.

Cell and atoms:
Cell: 6.1727 6.1818 10.6985 Å, 90.00 125.13 90.00°
Space group P2_1/c (No. 14)
Symmetry-distinct sites (fractional):
Ba  0.2505  0.0052  0.2494 (multiplicity 4)
La  0.0000  0.0000  0.5000 (multiplicity 2)
Sb  0.5000  0.0000  0.0000 (multiplicity 2)
O  0.2530  0.7161  0.4984 (multiplicity 4)
O  0.2672  0.0079  0.7692 (multiplicity 4)
O  0.2883  0.2448  0.0049 (multiplicity 4)

Principal peaks in the range 10° ≤ 2θ ≤ 90°, most intense first:
index, 2theta, I/Imax
2 0 -2, 28.9, 100.0
2 0 2, 51.2, 33.9
0 0 4, 41.3, 29.5
2 2 -6, 59.8, 15.4
4 2 0, 82.5, 10.8
4 2 -4, 67.9, 9.2
1 1 -7, 67.8, 9.1
3 1 -9, 82.6, 7.1
3 1 -5, 51.3, 6.8
4 0 0, 75.3, 4.5

(6)
Theoretical powder diffraction line list
Compound: ZrTi2
Radiation: a wavelength of 1.5418 Å
Structure: a structure optimized by DFT (GGA-PBE)
No peak broadening, texture or thermal motion is included.

Cell and atoms:
Cell: 7.8275 7.8275 7.8275 Å, 90.00 90.00 90.00°
Space group Fd-3m (No. 227, origin choice 2)
Symmetry-distinct sites (fractional):
Zr  0.1250  0.1250  0.1250 (multiplicity 8)
Ti  0.0000  0.0000  0.5000 (multiplicity 16)

Principal peaks in the range 10° ≤ 2θ ≤ 90°, most intense first:
index, 2theta, I/Imax
3 1 1, 38.1, 100.0
2 2 0, 32.3, 53.7
5 1 1, 61.6, 30.1
4 4 0, 67.7, 22.7
2 2 2, 39.9, 20.2
4 2 2, 57.7, 19.6
5 3 3, 80.5, 10.0
6 2 0, 77.1, 8.1
6 2 2, 81.6, 6.1
1 1 1, 19.6, 4.4